RbErFeS3: computed PXRD pattern (Cu Kα, 1.54184 Å), based on a DFT-relaxed cell (GGA-PBE, OQMD).
Lines closer than 0.1° are merged.

Top 12 peaks for 10° ≤ 2θ ≤ 90°, by angle:
(hkl)	d [Å]	I/Imax
1 0 -1	7.605	100
2 0 -2	3.802	34
0 1 1	3.602	21
0 0 3	2.980	22
2 1 -1	2.956	71
2 1 0	2.886	44
1 0 3	2.550	16
1 1 -3	2.471	19
1 0 -4	2.371	16
2 1 -4	2.010	19
0 2 0	1.968	17
3 1 2	1.844	16

Crystal structure
```
data_RbErFeS3
_chemical_formula_sum 'Rb2 Er2 Fe2 S6'
_space_group_name_H-M_alt 'P 1 21/m 1'
_space_group_IT_number 11
_space_group_name_Hall '-P 2yb'
_cell_length_a 9.0437
_cell_length_b 3.9358
_cell_length_c 9.5253
_cell_angle_alpha 90.00
_cell_angle_beta 110.21
_cell_angle_gamma 90.00
loop_
_atom_site_label
_atom_site_type_symbol
_atom_site_fract_x
_atom_site_fract_y
_atom_site_fract_z
Rb1 Rb 0.2101 0.2500 0.2363
Er1 Er 0.3349 0.7500 0.8534
Fe1 Fe 0.0762 0.2500 0.5931
S1 S 0.1198 0.2500 0.8438
S2 S 0.1958 0.7500 0.5396
S3 S 0.4637 0.7500 0.1524
```